# 1
This entry pairs a crystal structure of TaAg with its computed powder diffractogram. Radiation: λ = 1.5418 Å (Cu Kα). Structure: DFT lattice parameters and positions (PBE).
Peak positions follow from Bragg's law for the DFT cell and can differ from measured ones.

Principal peaks in the range 2θ from 5° to 70°, by intensity:
hkl, two_theta, I (rel.)
0 1 2, 36.7, 100
1 1 -1, 39.6, 45
0 2 0, 39.5, 41
1 1 0, 39.4, 38
1 0 1, 40.4, 22
1 0 -2, 41.1, 18

Crystal structure
```
TaAg
1.0
2.7059 0.0000 0.0000
0.0000 4.5630 0.0000
-1.2534 0.0000 5.7972
Ta Ag
2 2
direct
0.1750 0.2500 0.3650 Ta
0.8250 0.7500 0.6350 Ta
0.4452 0.2500 0.8719 Ag
0.5548 0.7500 0.1281 Ag
```



# 2
This entry pairs a crystal structure of Ta3Mo5 with its computed powder diffractogram. Radiation: λ = 1.5418 Å (Cu Kα). Structure: DFT lattice parameters and positions (PBE).
Peak positions follow from Bragg's law for the DFT cell and can differ from measured ones.

Principal peaks in the range 2θ from 5° to 70°, by intensity:
hkl, two_theta, I (rel.)
2 4 0, 39.8, 100
0 4 1, 39.5, 68
2 0 -1, 39.4, 35
2 0 1, 57.3, 34
0 2 0, 9.8, 19
2 2 0, 35.7, 4

Crystal structure
```
Ta3Mo5
1.0
5.5694 0.0000 0.0000
0.0000 18.0995 0.0000
-0.9527 0.0000 2.6408
Ta Mo
6 10
direct
0.0000 0.0000 0.0000 Ta
0.2485 0.3694 0.4927 Ta
0.2515 0.8694 0.5073 Ta
0.5000 0.5000 0.0000 Ta
0.7485 0.8694 0.4927 Ta
0.7515 0.3694 0.5073 Ta
0.0000 0.2438 0.0000 Mo
0.0000 0.4994 0.0000 Mo
0.0000 0.7427 0.0000 Mo
0.2501 0.1232 0.5053 Mo
0.2499 0.6232 0.4947 Mo
0.5000 0.2427 0.0000 Mo
0.5000 0.7438 0.0000 Mo
0.5000 0.9994 0.0000 Mo
0.7499 0.1232 0.4947 Mo
0.7501 0.6232 0.5053 Mo
```



# 3
This entry pairs a crystal structure of MnPd3Pt with its computed powder diffractogram. Radiation: λ = 1.5418 Å (Cu Kα). Structure: DFT lattice parameters and positions (PBE).
Peak positions follow from Bragg's law for the DFT cell and can differ from measured ones.

Principal peaks in the range 2θ from 5° to 70°, by intensity:
hkl, two_theta, I (rel.)
1 0 2, 40.0, 100
0 2 2, 42.9, 22
2 0 -1, 42.7, 20
2 2 1, 62.1, 15
0 0 1, 13.3, 12
0 2 3, 53.2, 10

Crystal structure
```
MnPd3Pt
1.0
4.2305 0.0000 0.0000
0.0000 5.4532 0.0000
-2.1089 0.0000 6.6609
Mn Pd Pt
2 6 2
direct
0.1972 0.2500 0.3934 Mn
0.8028 0.7500 0.6066 Mn
0.1983 0.7500 0.3971 Pd
0.3935 0.5018 0.7871 Pd
0.3935 0.9982 0.7871 Pd
0.6065 0.0018 0.2129 Pd
0.6065 0.4982 0.2129 Pd
0.8017 0.2500 0.6029 Pd
0.0060 0.2500 0.0117 Pt
0.9940 0.7500 0.9883 Pt
```